[1]
Diffraction record for Er2CdHg6. The PXRD pattern is simulated, not measured: it uses a PBE-relaxed structure and Cu Kα (weighted mean of Kα1 and Kα2).

Cell and atoms:
Cell: 8.7710 5.1783 9.3749 Å, 90.00 92.90 90.00°
Space group C2/m (No. 12)
Unique sites:
Er: 0.1619 0.0000 0.2711 [4 per cell]
Cd: 0.0000 0.5000 0.5000 [2 per cell]
Hg: 0.0049 0.5000 0.8333 [4 per cell]
Hg: 0.1678 0.0000 0.6017 [4 per cell]
Hg: 0.1684 0.0000 0.9318 [4 per cell]

Principal peaks in the range 15 to 90 degrees two-theta, in order of rising 2θ:
- hkl 2 0 -3, 2.605 Å, I 52
- hkl 0 2 0, 2.589 Å, I 55
- hkl 3 1 0, 2.543 Å, I 100
- hkl 1 1 3, 2.526 Å, I 96
- hkl 2 2 -3, 1.836 Å, I 38
- hkl 5 1 -3, 1.495 Å, I 20
- hkl 3 3 0, 1.485 Å, I 37
- hkl 1 3 3, 1.482 Å, I 19

=====

[2]
Diffraction record for ErCd2Hg2. The PXRD pattern is simulated, not measured: it uses a PBE-relaxed structure and Cu Kα (weighted mean of Kα1 and Kα2).

Cell and atoms:
Cell: 4.8835 4.8835 17.1509 Å, 90.00 90.00 120.00°
Space group R-3m (No. 166, hexagonal axes)
Unique sites:
Er: 0.0000 0.0000 0.0000 [3 per cell]
Cd: 0.0000 0.0000 0.2022 [6 per cell]
Hg: 0.0000 0.0000 0.4050 [6 per cell]

Principal peaks in the range 15 to 90 degrees two-theta, in order of rising 2θ:
- hkl 0 1 5, 2.664 Å, I 100
- hkl 1 1 0, 2.442 Å, I 80
- hkl 2 0 5, 1.800 Å, I 31
- hkl 1 0 10, 1.589 Å, I 21
- hkl 1 2 5, 1.449 Å, I 31
- hkl 3 0 0, 1.410 Å, I 14
- hkl 2 1 10, 1.169 Å, I 15
- hkl 3 1 5, 1.110 Å, I 14